Diffraction record for CeMgSi2. The powder diffractogram is computed, not measured: it uses a cell relaxed with GGA-PBE and Cu Kα.
Lines closer than 0.1° are merged.

Cell and atoms:
abc: 18.770 18.770 18.770
angles: 167.18 167.18 18.17
Sites, in units of the cell vectors:
Ce (0.297, 0.547, 0.750)
Ce (0.453, 0.703, 0.750)
Ce (0.547, 0.297, 0.250)
Ce (0.703, 0.453, 0.250)
Mg (0.125, 0.375, 0.750)
Mg (0.375, 0.125, 0.250)
Mg (0.625, 0.875, 0.750)
Mg (0.875, 0.625, 0.250)
Si (0.014, 0.764, 0.250)
Si (0.077, 0.827, 0.250)
Si (0.173, 0.923, 0.250)
Si (0.236, 0.986, 0.250)
Si (0.764, 0.014, 0.750)
Si (0.827, 0.077, 0.750)
Si (0.923, 0.173, 0.750)
Si (0.986, 0.236, 0.750)

The 10 most intense peaks (2θ = 10–90°), by angle:
2theta  d (Å)  Rel. int.
21.34  4.164  22.9
24.40  3.648  21.9
27.14  3.286  38.4
30.55  2.926  24.4
33.54  2.672  100.0
38.17  2.357  35.3
43.18  2.095  35.6
51.71  1.768  27.8
58.98  1.566  19.5
73.02  1.296  20.3